The following is a theoretical XRD peak list of ScMn5Ga7. It was derived from DFT lattice parameters and positions (GGA-PBE), using CuKα.

Structure:
```
13
Lattice="-2.566 4.285 4.304 2.566 -4.285 4.304 2.566 4.285 -4.304" Properties=species:S:1:pos:R:3 pbc="T T T"
Sc 0.000 0.000 0.000
Mn 2.566 0.000 2.037
Mn 1.308 -2.142 6.414
Mn 1.258 2.143 2.109
Mn 1.308 2.142 6.414
Mn 1.258 6.427 2.109
Ga 2.566 1.682 0.023
Ga 0.000 0.000 2.742
Ga 2.566 -1.425 4.182
Ga 2.566 1.425 4.182
Ga 0.000 0.000 5.754
Ga 0.000 4.285 2.251
Ga 0.000 2.603 4.328
```

Top 8 peaks for 10 to 90 degrees two-theta, low angle first:
34.97 deg, I 26; 35.98 deg, I 35; 40.97 deg, I 53; 41.81 deg, I 80; 41.98 deg, I 40; 42.18 deg, I 25; 46.32 deg, I 100; 47.40 deg, I 26